Starting from a cell relaxed with GGA-PBE, the powder XRD pattern of LaCe2YS4 was simulated for Cu Kα (weighted mean of Kα1 and Kα2).
Neutral-atom scattering factors, no anomalous dispersion.

Atomic structure:
Cell: 6.998 4.021 6.999 Å, 90.00 109.32 90.00°
Space group P2/m (No. 10)
Unique sites:
La: 0.000 0.000 0.000 [1 per cell]
Ce: 0.000 0.500 0.500 [1 per cell]
Ce: 0.500 0.000 0.500 [1 per cell]
Y: 0.500 0.500 0.000 [1 per cell]
S: 0.260 0.500 0.252 [2 per cell]
S: 0.261 0.000 0.755 [2 per cell]

Largest 12 diffraction maxima, low angle first, 2θ = 10–90°:
2θ (°)  I/Imax  (hkl)
27.0  33  2 0 0
27.1  32  1 1 -1
31.3  100  1 1 1
44.8  12  2 0 2
44.9  48  1 1 -3
45.1  12  0 2 0
53.2  16  3 1 1
53.3  16  2 2 0
55.7  12  0 0 4
55.9  12  2 2 -2
65.4  11  2 2 2
74.3  21  0 2 4